# Ac6Mg5Tl
Computed powder diffractogram, Cu Ka. Input: a PBE-relaxed structure.
No peak broadening, texture or thermal motion is included.

Structural model:
```
Ac6Mg5Tl
1.0
2.911 -8.752 0.000
2.911 8.752 0.000
0.000 0.000 8.210
Ac Mg Tl
6 5 1
Direct
0.000 0.000 0.249 Ac
0.000 0.000 0.751 Ac
0.334 0.666 0.251 Ac
0.334 0.666 0.749 Ac
0.666 0.334 0.251 Ac
0.666 0.334 0.749 Ac
0.167 0.833 0.500 Mg
0.171 0.829 0.000 Mg
0.500 0.500 0.500 Mg
0.829 0.171 0.000 Mg
0.833 0.167 0.500 Mg
0.500 0.500 0.000 Tl
```

Most intense lines, 10° ≤ 2θ ≤ 80°, most intense first:
2theta  d_spacing  I_rel
30.72  2.910  100
21.59  4.116  42
54.58  1.681  27
37.86  2.376  14
54.70  1.678  14
49.47  1.842  13
43.94  2.061  13
64.01  1.455  11
72.53  1.303  9
49.62  1.837  7